Record 1
# UGe2Rh2
Simulated XRD peak list, Cu Kα X-rays. Input: DFT lattice parameters and positions (GGA-PBE).
Kinematic intensities with the Lorentz-polarization factor, no thermal factor.

Top 8 peaks for 2θ = 10–80°, by angle:
- 11.6°, rel. 33, (0 0 1)
- 21.2°, rel. 33, (1 0 1)
- 25.0°, rel. 35, (1 1 0)
- 34.5°, rel. 28, (1 1 2)
- 35.7°, rel. 96, (2 0 0)
- 43.8°, rel. 100, (1 1 3)
- 51.4°, rel. 39, (2 2 0)
- 69.8°, rel. 50, (3 1 3)

abc: 5.0314 5.0314 7.6129
angles: 90.00 90.00 90.00
Space group P4mm (No. 99)
Asymmetric unit:
U 0.0000 0.0000 0.0000 x1
U 0.5000 0.5000 0.3574 x1
Ge 0.0000 0.0000 0.3487 x1
Ge 0.0000 0.0000 0.6538 x1
Ge 0.0000 0.5000 0.8167 x2
Rh 0.0000 0.5000 0.1665 x2
Rh 0.5000 0.5000 0.0212 x1
Rh 0.5000 0.5000 0.6526 x1


Record 2
# TmAl2Ni
Simulated XRD peak list, Cu Kα X-rays. Input: DFT lattice parameters and positions (GGA-PBE).
Kinematic intensities with the Lorentz-polarization factor, no thermal factor.

Top 8 peaks for 2θ = 10–80°, by angle:
- 23.7°, rel. 67, (1 1 0)
- 26.0°, rel. 52, (0 0 2)
- 35.5°, rel. 96, (1 1 2)
- 37.4°, rel. 100, (1 3 1)
- 38.4°, rel. 55, (0 4 1)
- 44.8°, rel. 27, (2 0 0)
- 53.7°, rel. 30, (1 3 3)
- 60.4°, rel. 29, (2 4 1)

abc: 4.0467 9.9827 6.8543
angles: 90.00 90.00 90.00
Space group Cmcm (No. 63)
Asymmetric unit:
Tm 0.0000 0.0631 0.2500 x4
Al 0.0000 0.3470 0.0536 x8
Ni 0.0000 0.2150 0.7500 x4